(1)
Structure and simulated powder diffractogram of AlIn (a structure optimized by DFT (GGA-PBE); copper Kα).
Kinematic intensities with the Lorentz-polarization factor, no thermal factor.

Structural model:
Lattice parameters (Å, degrees): 3.1328 3.1328 31.2434 90.00 90.00 120.00
Space group R-3m (No. 166, hexagonal axes)
One atom of each set of equivalent atoms:
Al1 0.0000 0.0000 0.1308 (multiplicity 6)
In1 0.0000 0.0000 0.3809 (multiplicity 6)

Most intense lines, 5° ≤ 2θ ≤ 70°, most intense first:
(0 0 3), 2θ 8.49, rel. 100; (1 0 4), 2θ 35.01, rel. 93; (0 1 8), 2θ 40.48, rel. 57; (0 0 9), 2θ 25.66, rel. 30; (0 1 5), 2θ 36.09, rel. 28; (0 0 12), 2θ 34.45, rel. 27; (1 0 1), 2θ 33.14, rel. 24; (1 1 0), 2θ 58.97, rel. 20; (1 0 13), 2θ 50.75, rel. 16; (1 0 16), 2θ 58.21, rel. 14; (1 1 9), 2θ 65.36, rel. 12; (0 1 17), 2θ 60.88, rel. 11

---

(2)
Structure and simulated powder diffractogram of Ac2HfS2N2 (a structure optimized by DFT (GGA-PBE); copper Kα).
Kinematic intensities with the Lorentz-polarization factor, no thermal factor.

Structural model:
Lattice parameters (Å, degrees): 4.326 4.326 15.175 90.00 90.00 90.00
Space group I4/mmm (No. 139)
One atom of each set of equivalent atoms:
Ac1 0.000 0.000 0.120 (multiplicity 4)
Hf1 0.000 0.000 0.500 (multiplicity 2)
S1 0.000 0.000 0.326 (multiplicity 4)
N1 0.000 0.500 0.000 (multiplicity 4)

Most intense lines, 5° ≤ 2θ ≤ 70°, most intense first:
(1 1 0), 2θ 29.20, rel. 100; (1 0 5), 2θ 36.15, rel. 89; (1 0 3), 2θ 27.12, rel. 84; (2 1 5), 2θ 56.40, rel. 50; (2 0 0), 2θ 41.76, rel. 45; (0 0 2), 2θ 11.66, rel. 36; (2 1 3), 2θ 50.51, rel. 33; (1 1 4), 2θ 37.78, rel. 23; (1 1 8), 2θ 57.14, rel. 21; (3 1 0), 2θ 68.61, rel. 18; (2 0 8), 2θ 65.45, rel. 16; (2 2 0), 2θ 60.54, rel. 15

---

(3)
Structure and simulated powder diffractogram of Ag4IrF8 (a structure optimized by DFT (GGA-PBE); copper Kα).
Kinematic intensities with the Lorentz-polarization factor, no thermal factor.

Structural model:
Lattice parameters (Å, degrees): 6.5779 6.5779 18.5269 90.00 90.00 120.00
Space group R-3m (No. 166, hexagonal axes)
One atom of each set of equivalent atoms:
Ag1 0.0000 0.0000 0.0000 (multiplicity 3)
Ag2 0.0000 0.5000 0.0000 (multiplicity 9)
Ir1 0.0000 0.0000 0.5000 (multiplicity 3)
F1 0.0000 0.0000 0.2712 (multiplicity 6)
F2 0.0552 0.5276 0.2311 (multiplicity 18)

Most intense lines, 5° ≤ 2θ ≤ 70°, most intense first:
(0 2 4), 2θ 37.05, rel. 100; (1 0 1), 2θ 16.28, rel. 67; (2 0 2), 2θ 32.90, rel. 58; (0 1 2), 2θ 18.28, rel. 38; (2 0 8), 2θ 50.81, rel. 34; (0 0 3), 2θ 14.34, rel. 33; (0 0 6), 2θ 28.92, rel. 30; (2 2 0), 2θ 55.91, rel. 28; (2 2 6), 2θ 64.15, rel. 24; (1 0 4), 2θ 24.77, rel. 19; (0 2 1), 2θ 31.79, rel. 19; (1 1 0), 2θ 27.11, rel. 15